For Tm2P4O13, a structure optimized by DFT (GGA-PBE) gives the computed powder diffractogram in this record (Cu Kα, 1.54184 Å).
Kinematic intensities with the Lorentz-polarization factor, no thermal factor.

Most intense lines, 10° ≤ 2θ ≤ 80°, low angle first:
2θ/deg, d [Å], intensity, (hkl)
14.51, 6.105, 100, 0 2 1
20.45, 4.343, 87, 0 4 0
22.95, 3.875, 51, 0 4 1
24.83, 3.586, 94, 1 1 2
25.30, 3.521, 98, 2 0 0
29.28, 3.050, 31, 2 2 1
34.22, 2.620, 43, 1 1 3
35.61, 2.521, 33, 1 5 2
37.31, 2.410, 48, 1 3 3
42.94, 2.106, 31, 0 8 1
44.30, 2.045, 33, 3 1 2
50.55, 1.806, 31, 3 1 3

Crystal structure
```
data_Tm2P4O13
_chemical_formula_sum 'Tm8 P16 O52'
_cell_length_a 7.041
_cell_length_b 17.371
_cell_length_c 8.583
_cell_angle_alpha 90.00
_cell_angle_beta 90.00
_cell_angle_gamma 90.00
_symmetry_space_group_name_H-M 'C 2 2 21'
_symmetry_Int_Tables_number 20
loop_
_symmetry_equiv_pos_as_xyz
'x,y,z'
'-x,-y,z+1/2'
'x,-y,-z'
'-x,y,-z+1/2'
'x+1/2,y+1/2,z'
'-x+1/2,-y+1/2,z+1/2'
'x+1/2,-y+1/2,-z'
'-x+1/2,y+1/2,-z+1/2'
loop_
_atom_site_label
_atom_site_fract_x
_atom_site_fract_y
_atom_site_fract_z
_atom_site_occupancy
Tm1 0.249 0.146 0.148 1
P1 0.216 0.437 0.276 1
P2 0.241 0.161 0.500 1
O1 0.000 0.413 0.250 1
O2 0.078 0.158 0.381 1
O3 0.078 0.351 0.901 1
O4 0.201 0.085 0.608 1
O5 0.212 0.116 0.901 1
O6 0.240 0.478 0.702 1
O7 0.245 0.230 0.605 1
```

For Er6Si2PSe3, a structure optimized by DFT (GGA-PBE) gives the computed powder diffractogram in this record (Cu Kα, 1.54184 Å).
Kinematic intensities with the Lorentz-polarization factor, no thermal factor.

Most intense lines, 10° ≤ 2θ ≤ 80°, low angle first:
2θ/deg, d [Å], intensity, (hkl)
26.73, 3.335, 12, 4 0 -2
26.95, 3.309, 36, 3 1 0
31.15, 2.871, 100, 6 0 0
44.49, 2.036, 36, 2 0 -4
44.77, 2.024, 37, 5 1 2
52.91, 1.730, 11, 1 1 4
53.03, 1.727, 6, 2 2 2
55.07, 1.668, 6, 8 0 -4
55.55, 1.654, 19, 4 0 4
64.96, 1.436, 11, 2 2 -4
73.59, 1.287, 15, 3 1 -6
74.00, 1.281, 17, 4 2 4

Crystal structure
```
data_Er6Si2PSe3
_chemical_formula_sum 'Er12 Si4 P2 Se6'
_cell_length_a 17.728
_cell_length_b 4.047
_cell_length_c 8.151
_cell_angle_alpha 90.00
_cell_angle_beta 103.72
_cell_angle_gamma 90.00
_symmetry_space_group_name_H-M 'C 1 2/m 1'
_symmetry_Int_Tables_number 12
loop_
_symmetry_equiv_pos_as_xyz
'x,y,z'
'-x,-y,-z'
'-x,y,-z'
'x,-y,z'
'x+1/2,y+1/2,z'
'-x+1/2,-y+1/2,-z'
'-x+1/2,y+1/2,-z'
'x+1/2,-y+1/2,z'
loop_
_atom_site_label
_atom_site_fract_x
_atom_site_fract_y
_atom_site_fract_z
_atom_site_occupancy
Er1 0.005 0.000 0.239 1
Er2 0.162 0.500 0.092 1
Er3 0.169 0.500 0.575 1
Si1 0.166 0.000 0.332 1
P1 0.000 0.500 0.000 1
Se1 0.000 0.500 0.500 1
Se2 0.165 0.000 0.834 1
```

For UPa5S6, a structure optimized by DFT (GGA-PBE) gives the computed powder diffractogram in this record (Cu Kα, 1.54184 Å).
Kinematic intensities with the Lorentz-polarization factor, no thermal factor.

Most intense lines, 10° ≤ 2θ ≤ 80°, low angle first:
2θ/deg, d [Å], intensity, (hkl)
27.37, 3.259, 28, 2 0 0
27.85, 3.204, 54, 1 3 -1
29.40, 3.038, 24, 0 0 2
32.59, 2.748, 100, 1 3 1
45.42, 1.997, 27, 3 3 -1
46.01, 1.973, 13, 0 6 0
47.45, 1.916, 12, 2 0 2
48.08, 1.893, 23, 1 3 -3
57.53, 1.602, 13, 2 6 -2
68.27, 1.374, 12, 2 6 2
75.74, 1.256, 12, 4 6 0
79.70, 1.203, 11, 0 6 4

Crystal structure
```
data_UPa5S6
_chemical_formula_sum 'U2 Pa10 S12'
_cell_length_a 6.946
_cell_length_b 11.836
_cell_length_c 6.475
_cell_angle_alpha 90.00
_cell_angle_beta 110.22
_cell_angle_gamma 90.00
_symmetry_space_group_name_H-M 'C 1 2/m 1'
_symmetry_Int_Tables_number 12
loop_
_symmetry_equiv_pos_as_xyz
'x,y,z'
'-x,-y,-z'
'-x,y,-z'
'x,-y,z'
'x+1/2,y+1/2,z'
'-x+1/2,-y+1/2,-z'
'-x+1/2,y+1/2,-z'
'x+1/2,-y+1/2,z'
loop_
_atom_site_label
_atom_site_fract_x
_atom_site_fract_y
_atom_site_fract_z
_atom_site_occupancy
U1 0.000 0.000 0.000 1
Pa1 0.000 0.167 0.500 1
Pa2 0.000 0.333 0.000 1
Pa3 0.000 0.500 0.500 1
S1 0.249 0.000 0.751 1
S2 0.249 0.166 0.249 1
```

For K2Ge3B2O10, a structure optimized by DFT (GGA-PBE) gives the computed powder diffractogram in this record (Cu Kα, 1.54184 Å).
Kinematic intensities with the Lorentz-polarization factor, no thermal factor.

Most intense lines, 10° ≤ 2θ ≤ 80°, low angle first:
2θ/deg, d [Å], intensity, (hkl)
14.59, 6.070, 68, 2 0 0
14.73, 6.013, 48, 2 0 -2
21.16, 4.199, 24, 1 1 1
21.95, 4.050, 37, 4 0 -2
23.98, 3.711, 28, 4 0 -1
24.15, 3.685, 32, 4 0 -3
28.99, 3.080, 100, 1 1 -3
30.65, 2.917, 85, 2 2 -1
32.89, 2.723, 36, 3 1 1
33.14, 2.703, 37, 3 1 -4
34.41, 2.606, 30, 5 1 -1
34.64, 2.589, 27, 5 1 -4

Crystal structure
```
data_K2Ge3B2O10
_chemical_formula_sum 'K8 Ge12 B8 O40'
_cell_length_a 16.200
_cell_length_b 6.253
_cell_length_c 12.104
_cell_angle_alpha 90.00
_cell_angle_beta 131.46
_cell_angle_gamma 90.00
_symmetry_space_group_name_H-M 'C 1 2 1'
_symmetry_Int_Tables_number 5
loop_
_symmetry_equiv_pos_as_xyz
'x,y,z'
'-x,y,-z'
'x+1/2,y+1/2,z'
'-x+1/2,y+1/2,-z'
loop_
_atom_site_label
_atom_site_fract_x
_atom_site_fract_y
_atom_site_fract_z
_atom_site_occupancy
K1 0.151 0.000 0.389 1
K2 0.239 0.253 0.889 1
Ge1 0.000 0.164 0.500 1
Ge2 0.000 0.910 0.000 1
Ge3 0.040 0.485 0.174 1
Ge4 0.125 0.737 0.682 1
B1 0.076 0.508 0.439 1
B2 0.141 0.262 0.079 1
O1 0.013 0.753 0.888 1
O2 0.045 0.537 0.677 1
O3 0.063 0.287 0.915 1
O4 0.069 0.998 0.659 1
O5 0.103 0.304 0.520 1
O6 0.122 0.057 0.124 1
O7 0.123 0.491 0.368 1
O8 0.133 0.692 0.545 1
O9 0.136 0.449 0.150 1
O10 0.247 0.745 0.870 1
```